Theoretical powder diffraction line list
Compound: Y5Mn3Ni3O18
Radiation: Cu Kα (λ = 1.5418 Å)
Structure: the PBE+U geometry in the Materials Project

Cell and atoms:
Cell lengths 7.4831, 5.5162, 17.5210 Å; angles 90.00, 115.24, 90.00 degrees
Element x y z (fractional)
Y (0.0000, 0.1761, 0.0000)
Y (0.0000, 0.8239, 0.5000)
Y (0.1577, 0.3157, 0.6563)
Y (0.1577, 0.6843, 0.1563)
Y (0.3407, 0.1799, 0.3358)
Y (0.3407, 0.8201, 0.8358)
Y (0.6648, 0.1846, 0.6637)
Y (0.6648, 0.8154, 0.1637)
Y (0.8212, 0.3134, 0.3227)
Y (0.8212, 0.6866, 0.8227)
Mn (0.0870, 0.2565, 0.8312)
Mn (0.0870, 0.7435, 0.3312)
Mn (0.4135, 0.2534, 0.1569)
Mn (0.4135, 0.7466, 0.6569)
Mn (0.7367, 0.2695, 0.4955)
Mn (0.7367, 0.7305, 0.9955)
Ni (0.2500, 0.2693, 0.4934)
Ni (0.2500, 0.7307, 0.9934)
Ni (0.5791, 0.2519, 0.8308)
Ni (0.5791, 0.7481, 0.3308)
Ni (0.9093, 0.2497, 0.1598)
Ni (0.9093, 0.7503, 0.6598)
O (0.1682, 0.4298, 0.3829)
O (0.1682, 0.5702, 0.8829)
O (0.2017, 0.2732, 0.1960)
O (0.2017, 0.7268, 0.6960)
O (0.2166, 0.0543, 0.9223)
O (0.2166, 0.9457, 0.4223)
O (0.2485, 0.4473, 0.0664)
O (0.2485, 0.5527, 0.5664)
O (0.2928, 0.2223, 0.7950)
O (0.2928, 0.7777, 0.2950)
O (0.2958, 0.0505, 0.5952)
O (0.2958, 0.9495, 0.0952)
O (0.5260, 0.4580, 0.7228)
O (0.5260, 0.5420, 0.2228)
O (0.5290, 0.2857, 0.5265)
O (0.5290, 0.7143, 0.0265)
O (0.5592, 0.0493, 0.2566)
O (0.5592, 0.9507, 0.7566)
O (0.6084, 0.4338, 0.3898)
O (0.6084, 0.5662, 0.8898)
O (0.6273, 0.2204, 0.1314)
O (0.6273, 0.7796, 0.6314)
O (0.6471, 0.0134, 0.9273)
O (0.6471, 0.9866, 0.4273)
O (0.8681, 0.2797, 0.8621)
O (0.8681, 0.7203, 0.3621)
O (0.8792, 0.4618, 0.0629)
O (0.8792, 0.5382, 0.5629)
O (0.8907, 0.0623, 0.5932)
O (0.8907, 0.9377, 0.0932)
O (0.9289, 0.4422, 0.7286)
O (0.9289, 0.5578, 0.2286)
O (0.9610, 0.0385, 0.2631)
O (0.9610, 0.9615, 0.7631)
O (0.9687, 0.2267, 0.4635)
O (0.9687, 0.7733, 0.9635)

Largest 6 diffraction maxima, most intense first, 2θ = 5–70°:
33.55 deg, d 2.671, I 100
47.67 deg, d 1.908, I 25
33.94 deg, d 2.641, I 25
60.48 deg, d 1.531, I 24
32.46 deg, d 2.758, I 21
48.67 deg, d 1.871, I 17


Theoretical powder diffraction line list
Compound: Mn4Zn3Ni2O12
Radiation: Cu Kα (λ = 1.5418 Å)
Structure: the PBE+U geometry in the Materials Project

Cell and atoms:
Cell lengths 6.0067, 6.0067, 13.2452 Å; angles 102.50, 102.50, 90.36 degrees
Element x y z (fractional)
Mn (0.0000, 0.0000, 0.0000)
Mn (0.0000, 0.0000, 0.5000)
Mn (0.0000, 0.5000, 0.0000)
Mn (0.3321, 0.3396, 0.6661)
Mn (0.3396, 0.3321, 0.1661)
Mn (0.5000, 0.0000, 0.5000)
Mn (0.6604, 0.6679, 0.8339)
Mn (0.6679, 0.6604, 0.3339)
Zn (0.1344, 0.8656, 0.2500)
Zn (0.1993, 0.4774, 0.4161)
Zn (0.4774, 0.1993, 0.9161)
Zn (0.5226, 0.8007, 0.0839)
Zn (0.8007, 0.5226, 0.5839)
Zn (0.8656, 0.1344, 0.7500)
Ni (0.1641, 0.6670, 0.8323)
Ni (0.3330, 0.8359, 0.6677)
Ni (0.6670, 0.1641, 0.3323)
Ni (0.8359, 0.3330, 0.1677)
O (0.0954, 0.5518, 0.1569)
O (0.1004, 0.1043, 0.1627)
O (0.1043, 0.1004, 0.6627)
O (0.1153, 0.5735, 0.6716)
O (0.2048, 0.7512, 0.9959)
O (0.2488, 0.7952, 0.5041)
O (0.2548, 0.2634, 0.5125)
O (0.2634, 0.2548, 0.0125)
O (0.4238, 0.4284, 0.8227)
O (0.4265, 0.8847, 0.8284)
O (0.4284, 0.4238, 0.3227)
O (0.4482, 0.9046, 0.3431)
O (0.5518, 0.0954, 0.6569)
O (0.5716, 0.5762, 0.6773)
O (0.5735, 0.1153, 0.1716)
O (0.5762, 0.5716, 0.1773)
O (0.7366, 0.7452, 0.9875)
O (0.7452, 0.7366, 0.4875)
O (0.7512, 0.2048, 0.4959)
O (0.7952, 0.2488, 0.0041)
O (0.8847, 0.4265, 0.3284)
O (0.8957, 0.8996, 0.3373)
O (0.8996, 0.8957, 0.8373)
O (0.9046, 0.4482, 0.8431)

Largest 6 diffraction maxima, most intense first, 2θ = 5–70°:
35.00 deg, d 2.564, I 100
35.26 deg, d 2.545, I 67
61.79 deg, d 1.501, I 43
29.75 deg, d 3.003, I 38
35.49 deg, d 2.530, I 37
62.04 deg, d 1.496, I 28


Theoretical powder diffraction line list
Compound: Mn9O13
Radiation: Cu Kα (λ = 1.5418 Å)
Structure: the PBE+U geometry in the Materials Project

Cell and atoms:
Cell lengths 5.3552, 5.3552, 17.1013 Å; angles 97.34, 97.34, 33.39 degrees
Element x y z (fractional)
Mn (0.0000, 0.0000, 0.0000)
Mn (0.1466, 0.1466, 0.5425)
Mn (0.2501, 0.2501, 0.9175)
Mn (0.4367, 0.4367, 0.6244)
Mn (0.4914, 0.4914, 0.8243)
Mn (0.5086, 0.5086, 0.1757)
Mn (0.5633, 0.5633, 0.3756)
Mn (0.7499, 0.7499, 0.0825)
Mn (0.8534, 0.8534, 0.4575)
O (0.0564, 0.0564, 0.6342)
O (0.1154, 0.1154, 0.1109)
O (0.1153, 0.1153, 0.8293)
O (0.2050, 0.2050, 0.4326)
O (0.3629, 0.3629, 0.0276)
O (0.3897, 0.3897, 0.7219)
O (0.5000, 0.5000, 0.5000)
O (0.6103, 0.6103, 0.2781)
O (0.6371, 0.6371, 0.9724)
O (0.7950, 0.7950, 0.5674)
O (0.8847, 0.8847, 0.1707)
O (0.8846, 0.8846, 0.8891)
O (0.9436, 0.9436, 0.3658)

Largest 6 diffraction maxima, most intense first, 2θ = 5–70°:
10.44 deg, d 8.474, I 100
33.69 deg, d 2.660, I 36
34.20 deg, d 2.622, I 29
41.39 deg, d 2.182, I 25
34.96 deg, d 2.567, I 23
40.05 deg, d 2.251, I 20


Theoretical powder diffraction line list
Compound: MnO
Radiation: Cu Kα (λ = 1.5418 Å)
Structure: the PBE+U geometry in the Materials Project

Cell and atoms:
Cell lengths 3.2036, 4.4891, 3.1677 Å; angles 90.00, 90.00, 90.00 degrees
Element x y z (fractional)
Mn (0.2500, 0.2500, 0.2384)
Mn (0.7500, 0.7500, 0.7616)
O (0.2500, 0.7500, 0.2582)
O (0.7500, 0.2500, 0.7418)

Largest 6 diffraction maxima, most intense first, 2θ = 5–70°:
40.03 deg, d 2.253, I 100
58.01 deg, d 1.590, I 58
40.18 deg, d 2.245, I 50
34.39 deg, d 2.608, I 47
34.66 deg, d 2.588, I 45
69.44 deg, d 1.353, I 17


Theoretical powder diffraction line list
Compound: MnO
Radiation: Cu Kα (λ = 1.5418 Å)
Structure: the PBE+U geometry in the Materials Project

Cell and atoms:
Cell lengths 3.4679, 5.8663, 5.4732 Å; angles 90.00, 90.00, 90.00 degrees
Element x y z (fractional)
Mn (0.0000, 0.1749, 0.0000)
Mn (0.0000, 0.8251, 0.5000)
Mn (0.5000, 0.3251, 0.5000)
Mn (0.5000, 0.6749, 0.0000)
O (0.0000, 0.1623, 0.6183)
O (0.0000, 0.8377, 0.1183)
O (0.5000, 0.3377, 0.1183)
O (0.5000, 0.6623, 0.6183)

Largest 6 diffraction maxima, most intense first, 2θ = 5–70°:
34.21 deg, d 2.621, I 100
32.72 deg, d 2.737, I 62
29.93 deg, d 2.985, I 52
34.70 deg, d 2.585, I 37
53.82 deg, d 1.703, I 37
59.37 deg, d 1.557, I 36


Copy entry 3 word for word.
Theoretical powder diffraction line list
Compound: Mn9O13
Radiation: Cu Kα (λ = 1.5418 Å)
Structure: the PBE+U geometry in the Materials Project

Cell and atoms:
Cell lengths 5.3552, 5.3552, 17.1013 Å; angles 97.34, 97.34, 33.39 degrees
Element x y z (fractional)
Mn (0.0000, 0.0000, 0.0000)
Mn (0.1466, 0.1466, 0.5425)
Mn (0.2501, 0.2501, 0.9175)
Mn (0.4367, 0.4367, 0.6244)
Mn (0.4914, 0.4914, 0.8243)
Mn (0.5086, 0.5086, 0.1757)
Mn (0.5633, 0.5633, 0.3756)
Mn (0.7499, 0.7499, 0.0825)
Mn (0.8534, 0.8534, 0.4575)
O (0.0564, 0.0564, 0.6342)
O (0.1154, 0.1154, 0.1109)
O (0.1153, 0.1153, 0.8293)
O (0.2050, 0.2050, 0.4326)
O (0.3629, 0.3629, 0.0276)
O (0.3897, 0.3897, 0.7219)
O (0.5000, 0.5000, 0.5000)
O (0.6103, 0.6103, 0.2781)
O (0.6371, 0.6371, 0.9724)
O (0.7950, 0.7950, 0.5674)
O (0.8847, 0.8847, 0.1707)
O (0.8846, 0.8846, 0.8891)
O (0.9436, 0.9436, 0.3658)

Largest 6 diffraction maxima, most intense first, 2θ = 5–70°:
10.44 deg, d 8.474, I 100
33.69 deg, d 2.660, I 36
34.20 deg, d 2.622, I 29
41.39 deg, d 2.182, I 25
34.96 deg, d 2.567, I 23
40.05 deg, d 2.251, I 20